For Na3Ag5Cl8, a PBE-relaxed structure gives the theoretical PXRD pattern in this record (copper Kα).

Atomic structure:
abc: 8.0119 8.0119 19.3128
angles: 90.00 90.00 120.00
Space group R-3m (No. 166, hexagonal axes)
One atom of each set of equivalent atoms:
1 Na 0.0000 0.5000 0.0000 [9 per cell]
2 Ag 0.0000 0.0000 0.0000 [3 per cell]
3 Ag 0.0000 0.0000 0.5000 [3 per cell]
4 Ag 0.0000 0.5000 0.5000 [9 per cell]
5 Cl 0.0000 0.0000 0.2494 [6 per cell]
6 Cl 0.0015 0.5008 0.7509 [18 per cell]

The 8 most intense peaks (2θ from 15° to 90°), in order of rising 2θ:
(0 2 1), 2θ = 26.10°, I = 13
(2 0 2), 2θ = 27.32°, I = 20
(0 2 4), 2θ = 31.76°, I = 100
(2 2 0), 2θ = 45.27°, I = 35
(2 0 8), 2θ = 45.79°, I = 34
(4 0 4), 2θ = 56.36°, I = 17
(2 4 4), 2θ = 75.07°, I = 14
(2 2 12), 2θ = 75.83°, I = 14



For MgAg2Au7, a PBE-relaxed structure gives the theoretical PXRD pattern in this record (copper Kα).

Atomic structure:
abc: 7.4405 14.1203 4.4583
angles: 90.00 90.00 90.00
Space group Cmmm (No. 65)
One atom of each set of equivalent atoms:
1 Mg 0.0000 0.0000 0.0000 [2 per cell]
2 Ag 0.0000 0.2955 0.5000 [4 per cell]
3 Au 0.0000 0.1854 0.0000 [4 per cell]
4 Au 0.0000 0.5000 0.5000 [2 per cell]
5 Au 0.1857 0.1019 0.5000 [8 per cell]

The 8 most intense peaks (2θ from 15° to 90°), in order of rising 2θ:
(0 0 1), 2θ = 19.92°, I = 72
(1 3 0), 2θ = 22.35°, I = 39
(0 2 1), 2θ = 23.60°, I = 35
(2 4 0), 2θ = 35.04°, I = 32
(1 5 1), 2θ = 39.67°, I = 100
(0 0 2), 2θ = 40.47°, I = 51
(2 4 1), 2θ = 40.63°, I = 42
(3 1 1), 2θ = 42.18°, I = 74